ThTiS4: theoretical X-ray powder pattern (Cu Kα X-rays), based on a DFT-relaxed cell (GGA-PBE, Alexandria).

Atomic structure:
```
data_ThTiS4
_chemical_formula_sum 'Th2 Ti2 S8'
_space_group_name_H-M_alt 'P 1'
_space_group_IT_number 1
_cell_length_a 6.4796
_cell_length_b 6.4681
_cell_length_c 6.5366
_cell_angle_alpha 90.00
_cell_angle_beta 99.95
_cell_angle_gamma 90.00
loop_
_space_group_symop_operation_xyz
'x,y,z'
loop_
_atom_site_label
_atom_site_type_symbol
_atom_site_fract_x
_atom_site_fract_y
_atom_site_fract_z
_atom_site_occupancy
Th1 Th 0.0000 0.0000 0.0000 1
Th2 Th 0.0000 0.5000 0.5000 1
Ti1 Ti 0.5000 0.0000 0.5000 1
Ti2 Ti 0.5000 0.5000 0.0000 1
S1 S 0.1841 0.1599 0.3827 1
S2 S 0.1841 0.3401 0.8827 1
S3 S 0.3339 0.7064 0.2622 1
S4 S 0.3339 0.7936 0.7622 1
S5 S 0.6661 0.2064 0.2378 1
S6 S 0.6661 0.2936 0.7378 1
S7 S 0.8159 0.6599 0.1173 1
S8 S 0.8159 0.8401 0.6173 1
```

Main lines, by angle (2θ from 15° to 90°):
d/Å, I_rel
4.563, 41
3.948, 100
3.514, 68
3.219, 19
2.885, 29
2.780, 29
2.693, 21
2.282, 35
2.271, 33
2.039, 34
2.025, 19
1.979, 19

=====

SnGe2Os: theoretical X-ray powder pattern (Cu Kα X-rays), based on a DFT-relaxed cell (GGA-PBE, Alexandria).

Atomic structure:
```
data_SnGe2Os
_chemical_formula_sum 'Sn4 Ge8 Os4'
_space_group_name_H-M_alt 'P 1'
_space_group_IT_number 1
_cell_length_a 5.8168
_cell_length_b 5.8168
_cell_length_c 12.1416
_cell_angle_alpha 90.00
_cell_angle_beta 90.00
_cell_angle_gamma 90.00
loop_
_space_group_symop_operation_xyz
'x,y,z'
loop_
_atom_site_label
_atom_site_type_symbol
_atom_site_fract_x
_atom_site_fract_y
_atom_site_fract_z
_atom_site_occupancy
Sn1 Sn 0.0000 0.0000 0.0000 1
Sn2 Sn 0.0000 0.5000 0.2500 1
Sn3 Sn 0.5000 0.0000 0.7500 1
Sn4 Sn 0.5000 0.5000 0.5000 1
Ge1 Ge 0.1922 0.2500 0.6250 1
Ge2 Ge 0.2500 0.6922 0.8750 1
Ge3 Ge 0.2500 0.8078 0.3750 1
Ge4 Ge 0.3078 0.2500 0.1250 1
Ge5 Ge 0.6922 0.7500 0.1250 1
Ge6 Ge 0.7500 0.1922 0.3750 1
Ge7 Ge 0.7500 0.3078 0.8750 1
Ge8 Ge 0.8078 0.7500 0.6250 1
Os1 Os 0.0000 0.0000 0.5000 1
Os2 Os 0.0000 0.5000 0.7500 1
Os3 Os 0.5000 0.0000 0.2500 1
Os4 Os 0.5000 0.5000 0.0000 1
```

Main lines, by angle (2θ from 15° to 90°):
d/Å, I_rel
5.246, 13
3.405, 100
2.908, 9
2.100, 45
2.057, 19
1.816, 17
1.760, 29
1.454, 6
1.361, 13
1.221, 7
1.196, 11
1.121, 7

=====

PmNd5Er12: theoretical X-ray powder pattern (Cu Kα X-rays), based on a DFT-relaxed cell (GGA-PBE, Alexandria).

Atomic structure:
```
data_PmNd5Er12
_chemical_formula_sum 'Pm1 Nd5 Er12'
_space_group_name_H-M_alt 'P 1'
_space_group_IT_number 1
_cell_length_a 10.3387
_cell_length_b 10.3387
_cell_length_c 5.9207
_cell_angle_alpha 90.00
_cell_angle_beta 90.00
_cell_angle_gamma 113.26
loop_
_space_group_symop_operation_xyz
'x,y,z'
loop_
_atom_site_label
_atom_site_type_symbol
_atom_site_fract_x
_atom_site_fract_y
_atom_site_fract_z
_atom_site_occupancy
Pm1 Pm 0.0000 0.0000 0.0000 1
Nd1 Nd 0.1664 0.8336 0.5000 1
Nd2 Nd 0.3339 0.6661 0.0000 1
Nd3 Nd 0.5000 0.5000 0.5000 1
Nd4 Nd 0.6661 0.3339 0.0000 1
Nd5 Nd 0.8336 0.1664 0.5000 1
Er1 Er 0.0107 0.3440 0.0511 1
Er2 Er 0.1555 0.4889 0.5511 1
Er3 Er 0.1775 0.1775 0.4472 1
Er4 Er 0.3211 0.3211 0.9472 1
Er5 Er 0.3440 0.0107 0.0511 1
Er6 Er 0.4889 0.1555 0.5511 1
Er7 Er 0.5111 0.8445 0.4489 1
Er8 Er 0.6560 0.9893 0.9489 1
Er9 Er 0.6789 0.6789 0.0528 1
Er10 Er 0.8225 0.8225 0.5528 1
Er11 Er 0.8445 0.5111 0.4489 1
Er12 Er 0.9893 0.6560 0.9489 1
```

Main lines, by angle (2θ from 15° to 90°):
d/Å, I_rel
2.960, 24
2.878, 30
2.792, 100
2.565, 15
2.064, 17
1.896, 8
1.675, 12
1.645, 21
1.596, 10
1.583, 9
1.396, 9
1.294, 9

=====

Dy2CuO4: theoretical X-ray powder pattern (Cu Kα X-rays), based on a DFT-relaxed cell (GGA-PBE, Alexandria).

Atomic structure:
```
data_Dy2CuO4
_chemical_formula_sum 'Dy4 Cu2 O8'
_space_group_name_H-M_alt 'P 1'
_space_group_IT_number 1
_cell_length_a 6.5388
_cell_length_b 6.5388
_cell_length_c 5.4922
_cell_angle_alpha 90.00
_cell_angle_beta 90.00
_cell_angle_gamma 49.70
loop_
_space_group_symop_operation_xyz
'x,y,z'
loop_
_atom_site_label
_atom_site_type_symbol
_atom_site_fract_x
_atom_site_fract_y
_atom_site_fract_z
_atom_site_occupancy
Dy1 Dy 0.1540 0.1540 0.0000 1
Dy2 Dy 0.3460 0.3460 0.5000 1
Dy3 Dy 0.6540 0.6540 0.5000 1
Dy4 Dy 0.8460 0.8460 0.0000 1
Cu1 Cu 0.0000 0.0000 0.5000 1
Cu2 Cu 0.5000 0.5000 0.0000 1
O1 O 0.0094 0.4906 0.7500 1
O2 O 0.2037 0.7963 0.7956 1
O3 O 0.2963 0.7037 0.2957 1
O4 O 0.4906 0.0094 0.2500 1
O5 O 0.5094 0.9906 0.7500 1
O6 O 0.7037 0.2963 0.7044 1
O7 O 0.7963 0.2037 0.2044 1
O8 O 0.9906 0.5094 0.2500 1
```

Main lines, by angle (2θ from 15° to 90°):
d/Å, I_rel
3.692, 19
2.772, 100
2.747, 37
2.016, 14
1.978, 8
1.942, 24
1.605, 17
1.591, 39
1.386, 10
1.373, 7
1.231, 7
1.228, 7

=====

EuHoHgBi: theoretical X-ray powder pattern (Cu Kα X-rays), based on a DFT-relaxed cell (GGA-PBE, Alexandria).

Atomic structure:
```
data_EuHoHgBi
_chemical_formula_sum 'Eu4 Ho4 Hg4 Bi4'
_space_group_name_H-M_alt 'P 1'
_space_group_IT_number 1
_cell_length_a 7.7443
_cell_length_b 7.7443
_cell_length_c 7.7443
_cell_angle_alpha 90.00
_cell_angle_beta 90.00
_cell_angle_gamma 90.00
loop_
_space_group_symop_operation_xyz
'x,y,z'
loop_
_atom_site_label
_atom_site_type_symbol
_atom_site_fract_x
_atom_site_fract_y
_atom_site_fract_z
_atom_site_occupancy
Eu1 Eu 0.0000 0.0000 0.0000 1
Eu2 Eu 0.0000 0.5000 0.5000 1
Eu3 Eu 0.5000 0.0000 0.5000 1
Eu4 Eu 0.5000 0.5000 0.0000 1
Ho1 Ho 0.0000 0.0000 0.5000 1
Ho2 Ho 0.0000 0.5000 0.0000 1
Ho3 Ho 0.5000 0.0000 0.0000 1
Ho4 Ho 0.5000 0.5000 0.5000 1
Hg1 Hg 0.2500 0.2500 0.7500 1
Hg2 Hg 0.2500 0.7500 0.2500 1
Hg3 Hg 0.7500 0.2500 0.2500 1
Hg4 Hg 0.7500 0.7500 0.7500 1
Bi1 Bi 0.2500 0.2500 0.2500 1
Bi2 Bi 0.2500 0.7500 0.7500 1
Bi3 Bi 0.7500 0.2500 0.7500 1
Bi4 Bi 0.7500 0.7500 0.2500 1
```

Main lines, by angle (2θ from 15° to 90°):
d/Å, I_rel
3.872, 2
2.738, 100
2.236, 1
1.936, 19
1.732, 1
1.581, 39
1.369, 12
1.224, 17
1.118, 4

=====

ThH12Rh7: theoretical X-ray powder pattern (Cu Kα X-rays), based on a DFT-relaxed cell (GGA-PBE, Alexandria).

Atomic structure:
```
data_ThH12Rh7
_chemical_formula_sum 'Th1 H12 Rh7'
_space_group_name_H-M_alt 'P 1'
_space_group_IT_number 1
_cell_length_a 5.5868
_cell_length_b 5.5868
_cell_length_c 5.5868
_cell_angle_alpha 87.06
_cell_angle_beta 87.06
_cell_angle_gamma 87.06
loop_
_space_group_symop_operation_xyz
'x,y,z'
loop_
_atom_site_label
_atom_site_type_symbol
_atom_site_fract_x
_atom_site_fract_y
_atom_site_fract_z
_atom_site_occupancy
Th1 Th 0.0000 0.0000 0.0000 1
H1 H 0.0829 0.4208 0.8491 1
H2 H 0.1509 0.9171 0.5792 1
H3 H 0.1856 0.5619 0.4388 1
H4 H 0.4208 0.8491 0.0829 1
H5 H 0.4381 0.5612 0.8144 1
H6 H 0.4388 0.1856 0.5619 1
H7 H 0.5612 0.8144 0.4381 1
H8 H 0.5619 0.4388 0.1856 1
H9 H 0.5792 0.1509 0.9171 1
H10 H 0.8144 0.4381 0.5612 1
H11 H 0.8491 0.0829 0.4208 1
H12 H 0.9171 0.5792 0.1509 1
Rh1 Rh 0.0905 0.2362 0.5222 1
Rh2 Rh 0.2362 0.5222 0.0905 1
Rh3 Rh 0.4778 0.9095 0.7638 1
Rh4 Rh 0.5000 0.5000 0.5000 1
Rh5 Rh 0.5222 0.0905 0.2362 1
Rh6 Rh 0.7638 0.4778 0.9095 1
Rh7 Rh 0.9095 0.7638 0.4778 1
```

Main lines, by angle (2θ from 15° to 90°):
d/Å, I_rel
3.848, 22
3.387, 28
2.786, 37
2.542, 18
2.445, 77
2.374, 42
2.257, 100
1.789, 16
1.736, 18
1.550, 15
1.454, 28
1.222, 15

=====

AcNd3Al8: theoretical X-ray powder pattern (Cu Kα X-rays), based on a DFT-relaxed cell (GGA-PBE, Alexandria).

Atomic structure:
```
data_AcNd3Al8
_chemical_formula_sum 'Ac1 Nd3 Al8'
_space_group_name_H-M_alt 'P 1'
_space_group_IT_number 1
_cell_length_a 9.9573
_cell_length_b 9.9573
_cell_length_c 9.9573
_cell_angle_alpha 33.51
_cell_angle_beta 33.51
_cell_angle_gamma 33.51
loop_
_space_group_symop_operation_xyz
'x,y,z'
loop_
_atom_site_label
_atom_site_type_symbol
_atom_site_fract_x
_atom_site_fract_y
_atom_site_fract_z
_atom_site_occupancy
Ac1 Ac 0.0000 0.0000 0.0000 1
Nd1 Nd 0.3745 0.3745 0.3745 1
Nd2 Nd 0.4997 0.4997 0.4997 1
Nd3 Nd 0.8748 0.8748 0.8748 1
Al1 Al 0.1869 0.1869 0.1869 1
Al2 Al 0.4358 0.4358 0.9343 1
Al3 Al 0.4358 0.9343 0.4358 1
Al4 Al 0.4406 0.9383 0.9383 1
Al5 Al 0.6879 0.6879 0.6879 1
Al6 Al 0.9343 0.4358 0.4358 1
Al7 Al 0.9383 0.4406 0.9383 1
Al8 Al 0.9383 0.9383 0.4406 1
```

Main lines, by angle (2θ from 15° to 90°):
d/Å, I_rel
4.690, 65
2.872, 100
2.449, 99
2.031, 9
1.864, 18
1.658, 40
1.563, 33
1.436, 22
1.373, 13
1.284, 17
1.239, 9
1.138, 6